(1)
This entry pairs a crystal structure of SiO2 with its calculated X-ray diffraction stick pattern. Radiation: Cu Kα (λ = 1.5418 Å). Structure: a GGA-PBE-relaxed structure.
Peak positions follow from Bragg's law for the DFT cell and can differ from measured ones.

Most intense lines, 2θ from 10° to 80°, low angle first:
13.67°, rel. 61
18.58°, rel. 100
21.69°, rel. 20
23.14°, rel. 54
27.53°, rel. 11
30.35°, rel. 54
30.86°, rel. 16
33.43°, rel. 14
38.93°, rel. 16
46.16°, rel. 30
47.30°, rel. 12
62.24°, rel. 9

Unit cell a=12.9581 b=12.9581 c=5.1360 alpha=90.00 beta=90.00 gamma=90.00
Space group I-42m (No. 121)
One atom of each set of equivalent atoms:
Si 0.0000 0.1544 0.0000 x8
Si 0.1998 0.1998 0.2289 x8
O 0.0752 0.2225 0.1895 x16
O 0.0794 0.0794 0.8328 x8
O 0.2339 0.2339 0.5184 x8

***

(2)
This entry pairs a crystal structure of LaNb2CuBrO7 with its calculated X-ray diffraction stick pattern. Radiation: Cu Kα (λ = 1.5418 Å). Structure: a GGA-PBE-relaxed structure.
Peak positions follow from Bragg's law for the DFT cell and can differ from measured ones.

Most intense lines, 2θ from 10° to 80°, low angle first:
15.02°, rel. 15
22.61°, rel. 16
27.18°, rel. 77
32.09°, rel. 100
35.58°, rel. 13
44.70°, rel. 27
45.91°, rel. 18
46.11°, rel. 30
54.29°, rel. 11
57.23°, rel. 12
57.31°, rel. 17
67.07°, rel. 14

Unit cell a=7.9068 b=7.8820 c=11.7989 alpha=90.00 beta=90.07 gamma=90.00
Space group C2 (No. 5)
One atom of each set of equivalent atoms:
La 0.2371 0.0000 0.0000 x4
Nb 0.0005 0.2507 0.1905 x4
Nb 0.0002 0.7468 0.1906 x4
Cu 0.0000 0.2746 0.5000 x2
Cu 0.0000 0.7303 0.5000 x2
Br 0.2400 0.9773 0.4950 x4
O 0.0000 0.9996 0.1730 x4
O 0.0000 0.2124 0.0000 x2
O 0.0001 0.5000 0.1381 x4
O 0.0000 0.7871 0.0000 x2
O 0.0007 0.7251 0.6567 x4
O 0.0021 0.2653 0.3431 x4
O 0.2503 0.2511 0.1525 x4
O 0.2499 0.2511 0.8468 x4

***

(3)
This entry pairs a crystal structure of Na5Ti16O32 with its calculated X-ray diffraction stick pattern. Radiation: Cu Kα (λ = 1.5418 Å). Structure: a GGA-PBE-relaxed structure.
Peak positions follow from Bragg's law for the DFT cell and can differ from measured ones.

Most intense lines, 2θ from 10° to 80°, low angle first:
11.98°, rel. 100
12.09°, rel. 87
18.02°, rel. 65
18.18°, rel. 58
31.42°, rel. 36
31.87°, rel. 28
32.14°, rel. 25
32.47°, rel. 26
36.33°, rel. 54
36.42°, rel. 51
62.44°, rel. 26
65.38°, rel. 27

Unit cell a=5.9489 b=9.6301 c=11.3887 alpha=90.56 beta=90.04 gamma=90.06
Space group P1 (No. 1)
One atom of each set of equivalent atoms:
Na 0.0000 0.0000 0.0000 x1
Na 0.0212 0.5000 0.3489 x1
Na 0.2574 0.2217 0.8439 x1
Na 0.5120 0.9994 0.0001 x1
Na 0.7394 0.7090 0.5007 x1
Ti 0.0026 0.1215 0.3032 x1
Ti 0.0055 0.3667 0.5951 x1
Ti 0.0061 0.8676 0.7592 x1
Ti 0.0099 0.6217 0.0454 x1
Ti 0.2561 0.0854 0.5462 x1
Ti 0.2563 0.8362 0.2702 x1
Ti 0.2573 0.3439 0.0951 x1
Ti 0.2608 0.5911 0.8032 x1
Ti 0.5019 0.6198 0.0482 x1
Ti 0.5057 0.3753 0.5786 x1
Ti 0.5062 0.8684 0.7597 x1
Ti 0.5095 0.1247 0.3019 x1
Ti 0.7508 0.5860 0.8044 x1
Ti 0.7554 0.3361 0.0797 x1
Ti 0.7547 0.8436 0.2561 x1
Ti 0.7555 0.0913 0.5481 x1
O 0.0032 0.9793 0.6162 x1
O 0.0048 0.4680 0.1529 x1
O 0.0061 0.2048 0.4651 x1
O 0.0060 0.7067 0.8857 x1
O 0.0066 0.9671 0.1942 x1
O 0.0086 0.4790 0.7364 x1
O 0.0115 0.2453 0.0168 x1
O 0.2499 0.4557 0.5158 x1
O 0.2536 0.2317 0.2361 x1
O 0.2555 0.7450 0.6973 x1
O 0.2559 0.0037 0.3825 x1
O 0.2555 0.5019 0.9633 x1
O 0.2563 0.9636 0.8383 x1
O 0.2567 0.2413 0.6523 x1
O 0.2566 0.7344 0.1162 x1
O 0.4994 0.2435 0.0173 x1
O 0.5027 0.4789 0.7315 x1
O 0.5045 0.9690 0.1940 x1
O 0.5057 0.2054 0.4652 x1
O 0.5065 0.7073 0.8865 x1
O 0.5079 0.4662 0.1519 x1
O 0.5084 0.9787 0.6160 x1
O 0.5119 0.7535 0.3323 x1
O 0.7553 0.0041 0.3829 x1
O 0.7548 0.2447 0.6524 x1
O 0.7560 0.5027 0.9641 x1
O 0.7558 0.7356 0.1106 x1
O 0.7561 0.7412 0.6959 x1
O 0.7559 0.9543 0.8394 x1
O 0.7582 0.2300 0.2306 x1
O 0.7634 0.4634 0.5169 x1
O 0.9987 0.7481 0.3317 x1

***

(4)
This entry pairs a crystal structure of EuSe2 with its calculated X-ray diffraction stick pattern. Radiation: Cu Kα (λ = 1.5418 Å). Structure: a GGA-PBE-relaxed structure.
Peak positions follow from Bragg's law for the DFT cell and can differ from measured ones.

Most intense lines, 2θ from 10° to 80°, low angle first:
23.84°, rel. 47
29.94°, rel. 47
30.80°, rel. 37
32.42°, rel. 75
36.90°, rel. 100
37.25°, rel. 53
44.11°, rel. 56
54.23°, rel. 35
59.07°, rel. 28
64.15°, rel. 18
66.70°, rel. 17
76.37°, rel. 24

Unit cell a=4.1060 b=4.1060 c=8.9520 alpha=90.00 beta=90.00 gamma=90.00
Space group P4/nmm (No. 129, origin choice 2)
One atom of each set of equivalent atoms:
Eu 0.2500 0.2500 0.2160 x2
Se 0.2500 0.2500 0.8661 x2
Se 0.2500 0.7500 0.5000 x2

***

(5)
This entry pairs a crystal structure of KSrMg14 with its calculated X-ray diffraction stick pattern. Radiation: Cu Kα (λ = 1.5418 Å). Structure: a GGA-PBE-relaxed structure.
Peak positions follow from Bragg's law for the DFT cell and can differ from measured ones.

Most intense lines, 2θ from 10° to 80°, low angle first:
14.97°, rel. 9
17.20°, rel. 7
22.63°, rel. 14
30.21°, rel. 26
34.12°, rel. 24
34.80°, rel. 100
46.21°, rel. 16
53.67°, rel. 18
61.51°, rel. 18
65.14°, rel. 19
65.57°, rel. 14
71.84°, rel. 4

Unit cell a=6.8314 b=6.8314 c=10.5121 alpha=90.00 beta=90.00 gamma=120.00
Space group P-6m2 (No. 187)
One atom of each set of equivalent atoms:
K 0.0000 0.0000 0.0000 x1
Sr 0.0000 0.0000 0.5000 x1
Mg 0.0064 0.5032 0.0000 x3
Mg 0.0111 0.5055 0.5000 x3
Mg 0.1782 0.3564 0.2507 x6
Mg 0.6667 0.3333 0.2510 x2